Entry 1:
# AcH2Rh2Pb
Calculated powder X-ray diffraction pattern, copper Kα. Input: a PBE-relaxed structure.
Intensities are scaled so that the largest is 100.

Crystal structure
Unit cell a=4.960 b=5.842 c=7.484 alpha=90.00 beta=99.43 gamma=90.00
Space group P2_1/m (No. 11)
Asymmetric unit:
Ac: 0.239 0.250 0.373 (multiplicity 2)
H: 0.141 0.250 0.684 (multiplicity 2)
H: 0.273 0.750 0.667 (multiplicity 2)
Rh: 0.292 0.010 0.793 (multiplicity 4)
Pb: 0.208 0.750 0.093 (multiplicity 2)

Peak list (8 most intense, 2θ from 5° to 70°, low angle first)
h k l, 2theta, I_rel
1 1 -1, 25.2, 70
1 1 1, 28.0, 67
0 1 2, 28.6, 100
2 0 0, 36.7, 54
1 2 -1, 36.9, 77
1 0 -3, 38.1, 38
1 2 1, 38.9, 44
2 1 -2, 43.7, 39

=====

Entry 2:
# NaHo2Pt
Calculated powder X-ray diffraction pattern, copper Kα. Input: a PBE-relaxed structure.
Intensities are scaled so that the largest is 100.

Crystal structure
Unit cell a=4.0682 b=4.0682 c=30.9879 alpha=90.00 beta=90.00 gamma=120.00
Space group R-3m (No. 166, hexagonal axes)
Asymmetric unit:
Na: 0.0000 0.0000 0.0000 (multiplicity 3)
Ho: 0.0000 0.0000 0.1197 (multiplicity 6)
Pt: 0.0000 0.0000 0.5000 (multiplicity 3)

Peak list (8 most intense, 2θ from 5° to 70°, low angle first)
h k l, 2theta, I_rel
0 0 3, 8.6, 100
0 1 2, 25.9, 11
0 1 5, 29.2, 25
0 1 8, 34.4, 25
1 1 0, 44.5, 13
1 1 3, 45.4, 11
1 0 13, 46.0, 9
1 0 16, 54.1, 11

=====

Entry 3:
# Tb4PrTe5
Calculated powder X-ray diffraction pattern, copper Kα. Input: a PBE-relaxed structure.
Intensities are scaled so that the largest is 100.

Crystal structure
Unit cell a=4.384 b=4.384 c=31.487 alpha=90.00 beta=90.00 gamma=90.00
Space group I4/mmm (No. 139)
Asymmetric unit:
Tb: 0.000 0.000 0.095 (multiplicity 4)
Tb: 0.000 0.000 0.292 (multiplicity 4)
Pr: 0.000 0.000 0.500 (multiplicity 2)
Te: 0.000 0.000 0.000 (multiplicity 2)
Te: 0.000 0.000 0.195 (multiplicity 4)
Te: 0.000 0.000 0.395 (multiplicity 4)

Peak list (8 most intense, 2θ from 5° to 70°, low angle first)
h k l, 2theta, I_rel
0 0 10, 28.3, 47
1 1 0, 28.8, 100
1 1 10, 40.9, 70
2 0 0, 41.2, 38
2 0 10, 50.8, 37
2 2 0, 59.7, 16
2 2 10, 67.3, 16
3 1 0, 67.6, 17